No. 1
Rb2ZnCuF6: computed X-ray diffraction stick pattern (a wavelength of 1.5418 Å), based on a structure optimized by DFT (GGA-PBE).

Cell and atoms:
```
Rb2ZnCuF6
1.0
-2.9041 2.9041 4.4931
2.9041 -2.9041 4.4931
2.9041 2.9041 -4.4931
Rb Zn Cu F
2 1 1 6
direct
0.2500 0.7500 0.5000 Rb
0.7500 0.2500 0.5000 Rb
0.0000 0.0000 0.0000 Zn
0.5000 0.5000 0.0000 Cu
0.2164 0.2164 0.0000 F
0.2635 0.2635 0.5270 F
0.2635 0.7365 0.0000 F
0.7365 0.2635 0.0000 F
0.7365 0.7365 0.4730 F
0.7836 0.7836 0.0000 F
```

Principal peaks in the range 2θ from 10° to 90°, in order of rising 2θ:
d (Å)  I_rel
3.031  100
2.904  44
2.247  24
2.054  38
1.700  36
1.516  25

No. 2
Rb4Zn3CuF12: computed X-ray diffraction stick pattern (a wavelength of 1.5418 Å), based on a structure optimized by DFT (GGA-PBE).

Cell and atoms:
```
Rb4Zn3CuF12
1.0
-4.1788 4.1788 4.1788
4.1788 -4.1788 4.1788
4.1788 4.1788 -4.1788
Rb Zn Cu F
4 3 1 12
direct
0.0000 0.0000 0.5000 Rb
0.0000 0.5000 0.0000 Rb
0.5000 0.0000 0.0000 Rb
0.5000 0.5000 0.5000 Rb
0.0000 0.5000 0.5000 Zn
0.5000 0.0000 0.5000 Zn
0.5000 0.5000 0.0000 Zn
0.0000 0.0000 0.0000 Cu
0.0000 0.2503 0.2503 F
0.0000 0.7497 0.7497 F
0.2503 0.0000 0.2503 F
0.2503 0.2503 0.0000 F
0.2500 0.5000 0.7500 F
0.2500 0.7500 0.5000 F
0.5000 0.2500 0.7500 F
0.5000 0.7500 0.2500 F
0.7497 0.0000 0.7497 F
0.7500 0.2500 0.5000 F
0.7500 0.5000 0.2500 F
0.7497 0.7497 0.0000 F
```

Principal peaks in the range 2θ from 10° to 90°, in order of rising 2θ:
d (Å)  I_rel
2.955  100
2.089  44
1.706  39
1.477  26
1.321  17
1.117  20

No. 3
Rb2ZrCuF6: computed X-ray diffraction stick pattern (a wavelength of 1.5418 Å), based on a structure optimized by DFT (GGA-PBE).

Cell and atoms:
```
Rb2ZrCuF6
1.0
-3.4537 3.4537 4.3164
3.4537 -3.4537 4.3164
3.4537 3.4537 -4.3164
Rb Zr Cu F
2 1 1 6
direct
0.2500 0.7500 0.5000 Rb
0.7500 0.2500 0.5000 Rb
0.0000 0.0000 0.0000 Zr
0.5000 0.5000 0.0000 Cu
0.2088 0.2088 0.4175 F
0.2088 0.7912 0.0000 F
0.2377 0.2377 0.0000 F
0.7623 0.7623 0.0000 F
0.7912 0.2088 0.0000 F
0.7912 0.7912 0.5825 F
```

Principal peaks in the range 2θ from 10° to 90°, in order of rising 2θ:
d (Å)  I_rel
3.454  61
3.234  100
2.442  48
1.949  42
1.830  20
1.617  24

No. 4
CuRe3F: computed X-ray diffraction stick pattern (a wavelength of 1.5418 Å), based on a structure optimized by DFT (GGA-PBE).

Cell and atoms:
```
CuRe3F
1.0
4.1654 0.0000 0.0000
0.0000 4.1654 0.0000
0.0000 0.0000 4.1654
Cu Re F
1 3 1
direct
0.0000 0.0000 0.0000 Cu
0.0000 0.5000 0.5000 Re
0.5000 0.0000 0.5000 Re
0.5000 0.5000 0.0000 Re
0.5000 0.5000 0.5000 F
```

Principal peaks in the range 2θ from 10° to 90°, in order of rising 2θ:
d (Å)  I_rel
4.165  16
2.405  100
2.083  56
1.473  37
1.256  39
1.202  13

No. 5
Cu2RhF8: computed X-ray diffraction stick pattern (a wavelength of 1.5418 Å), based on a structure optimized by DFT (GGA-PBE).

Cell and atoms:
```
Cu2RhF8
1.0
6.3283 0.0000 0.0000
-3.1642 5.4805 0.0000
0.0000 0.0000 3.9628
Cu Rh F
2 1 8
direct
0.3333 0.6667 0.2190 Cu
0.6667 0.3333 0.7810 Cu
0.0000 0.0000 0.0000 Rh
0.1525 0.3049 0.2549 F
0.1525 0.8475 0.2549 F
0.3049 0.1525 0.7451 F
0.3333 0.6667 0.7255 F
0.6667 0.3333 0.2745 F
0.6951 0.8475 0.2549 F
0.8475 0.1525 0.7451 F
0.8475 0.6951 0.7451 F
```

Principal peaks in the range 2θ from 10° to 90°, in order of rising 2θ:
d (Å)  I_rel
3.211  72
3.164  100
2.473  27
1.836  34
1.606  25
1.582  27

No. 6
Cu3RuF8: computed X-ray diffraction stick pattern (a wavelength of 1.5418 Å), based on a structure optimized by DFT (GGA-PBE).

Cell and atoms:
```
Cu3RuF8
1.0
2.7225 -4.8208 0.0000
2.7225 4.8208 0.0000
0.0000 0.0000 6.4102
Cu Ru F
3 1 8
direct
0.0000 0.0000 0.0000 Cu
0.0000 0.5000 0.7660 Cu
0.5000 0.0000 0.2340 Cu
0.0000 0.0000 0.5000 Ru
0.2022 0.7978 0.0000 F
0.2074 0.7926 0.5000 F
0.2289 0.2586 0.7287 F
0.2586 0.2289 0.2713 F
0.7414 0.7711 0.2713 F
0.7711 0.7414 0.7287 F
0.7926 0.2074 0.5000 F
0.7978 0.2022 0.0000 F
```

Principal peaks in the range 2θ from 10° to 90°, in order of rising 2θ:
d (Å)  I_rel
4.741  100
3.812  66
2.655  43
2.410  37
2.075  57
1.573  34

No. 7
CuS2F: computed X-ray diffraction stick pattern (a wavelength of 1.5418 Å), based on a structure optimized by DFT (GGA-PBE).

Cell and atoms:
```
CuS2F
1.0
3.7140 -3.8306 0.0000
3.7140 3.8306 0.0000
0.0000 0.0000 5.0221
Cu S F
2 4 2
direct
0.1879 0.1879 0.0000 Cu
0.8121 0.8121 0.5000 Cu
0.2449 0.5011 0.2914 S
0.4989 0.7551 0.2086 S
0.5011 0.2449 0.7086 S
0.7551 0.4989 0.7914 S
0.0793 0.9207 0.7500 F
0.9207 0.0793 0.2500 F
```

Principal peaks in the range 2θ from 10° to 90°, in order of rising 2θ:
d (Å)  I_rel
3.831  47
3.656  100
3.046  59
2.986  36
2.176  36
1.718  35

No. 8
CuS3F2: computed X-ray diffraction stick pattern (a wavelength of 1.5418 Å), based on a structure optimized by DFT (GGA-PBE).

Cell and atoms:
```
CuS3F2
1.0
4.5894 -7.3449 0.0000
4.5894 7.3449 0.0000
-0.8893 0.0000 4.2332
Cu S F
2 6 4
direct
0.1709 0.8291 0.7500 Cu
0.8291 0.1709 0.2500 Cu
0.2383 0.5833 0.5471 S
0.4099 0.5901 0.2500 S
0.4167 0.7617 0.9529 S
0.5833 0.2383 0.0471 S
0.5901 0.4099 0.7500 S
0.7617 0.4167 0.4529 S
0.0029 0.3126 0.0707 F
0.3126 0.0029 0.5707 F
0.6874 0.9971 0.4293 F
0.9971 0.6874 0.9293 F
```

Principal peaks in the range 2θ from 10° to 90°, in order of rising 2θ:
d (Å)  I_rel
7.345  100
4.491  74
4.016  40
3.670  87
3.458  20
2.621  61

No. 9
Tl2Cu3SbF12: computed X-ray diffraction stick pattern (a wavelength of 1.5418 Å), based on a structure optimized by DFT (GGA-PBE).

Cell and atoms:
```
Tl2Cu3SbF12
1.0
3.5299 2.0380 7.4778
-3.5299 2.0380 7.4778
0.0000 -4.0760 7.4778
Tl Cu Sb F
2 3 1 12
direct
0.0847 0.0847 0.0847 Tl
0.9153 0.9153 0.9153 Tl
0.0000 0.5000 0.5000 Cu
0.5000 0.0000 0.5000 Cu
0.5000 0.5000 0.0000 Cu
0.5000 0.5000 0.5000 Sb
0.1719 0.1719 0.5810 F
0.1719 0.5810 0.1719 F
0.1930 0.5796 0.5796 F
0.4190 0.8281 0.8281 F
0.4204 0.4204 0.8070 F
0.4204 0.8070 0.4204 F
0.5796 0.1930 0.5796 F
0.5796 0.5796 0.1930 F
0.5810 0.1719 0.1719 F
0.8070 0.4204 0.4204 F
0.8281 0.4190 0.8281 F
0.8281 0.8281 0.4190 F
```

Principal peaks in the range 2θ from 10° to 90°, in order of rising 2θ:
d (Å)  I_rel
5.368  52
3.617  100
3.530  46
3.029  37
2.949  48
2.838  36

No. 10
CuSb2Xe4F20: computed X-ray diffraction stick pattern (a wavelength of 1.5418 Å), based on a structure optimized by DFT (GGA-PBE).

Cell and atoms:
```
CuSb2Xe4F20
1.0
-5.7059 5.7059 4.2412
5.7059 -5.7059 4.2412
5.7059 5.7059 -4.2412
Cu Sb Xe F
1 2 4 20
direct
0.0000 0.0000 0.0000 Cu
0.5000 0.5000 0.0000 Sb
0.7500 0.2500 0.5000 Sb
0.1296 0.0129 0.4168 Xe
0.2872 0.8704 0.8833 Xe
0.5961 0.7128 0.5832 Xe
0.9871 0.4039 0.1167 Xe
0.0196 0.8197 0.8694 F
0.0330 0.6482 0.1149 F
0.0818 0.9670 0.6152 F
0.1803 0.0497 0.1999 F
0.2706 0.2706 0.0000 F
0.3518 0.4667 0.3848 F
0.3584 0.4237 0.7721 F
0.4137 0.6416 0.0653 F
0.5227 0.0227 0.5000 F
0.5333 0.9182 0.8851 F
0.5763 0.3484 0.9347 F
0.6238 0.1465 0.2629 F
0.6392 0.3762 0.5228 F
0.6516 0.5863 0.2279 F
0.7294 0.7294 0.0000 F
0.8498 0.9804 0.8001 F
0.8535 0.1164 0.4772 F
0.8836 0.3608 0.7371 F
0.9503 0.1502 0.1306 F
0.9773 0.4773 0.5000 F
```

Principal peaks in the range 2θ from 10° to 90°, in order of rising 2θ:
d (Å)  I_rel
4.373  100
4.035  37
3.754  66
3.471  30
2.552  22
2.204  25